Computed XRD peak list
Compound: DyY2Co2B2O3
Radiation: CuKα
Structure: DFT lattice parameters and positions (PBE+U)
Intensities are scaled so that the largest is 100.

Top 10 peaks for 2θ = 10–80°, by angle:
| two_theta | I (rel.) | index |
| --- | --- | --- |
| 29.03 | 100 | 1 0 3 |
| 33.43 | 49 | 0 0 8 |
| 33.59 | 35 | 1 0 5 |
| 37.31 | 27 | 1 1 0 |
| 38.28 | 46 | 1 1 2 |
| 45.39 | 49 | 1 1 6 |
| 53.79 | 32 | 2 0 0 |
| 54.21 | 27 | 1 0 11 |
| 62.28 | 24 | 2 1 3 |
| 64.86 | 38 | 2 0 8 |

Atomic structure:
a = 3.408 Å, b = 3.408 Å, c = 21.443 Å
α = 90.00°, β = 90.00°, γ = 90.00°
Space group I4/mmm (No. 139)
Asymmetric unit:
Dy1 0.000 0.000 0.000 x2
Y1 0.000 0.000 0.363 x4
Co1 0.000 0.500 0.250 x4
B1 0.000 0.000 0.210 x4
O1 0.000 0.000 0.103 x4
O2 0.000 0.000 0.500 x2